Entry 1:
Structure and calculated X-ray powder pattern of Rb2NpVS4 (a crystal structure in Alexandria, relaxed with GGA-PBE; λ = 1.5418 Å (Cu Kα)).

Largest 12 diffraction maxima, by angle, 2θ from 10° to 80°:
(1 0 1), d = 5.856 Å, rel. 38; (1 1 0), d = 5.172 Å, rel. 15; (2 0 0), d = 3.657 Å, rel. 32; (1 1 2), d = 3.552 Å, rel. 100; (2 1 1), d = 3.102 Å, rel. 15; (2 2 0), d = 2.586 Å, rel. 24; (3 1 0), d = 2.310 Å, rel. 16; (1 3 2), d = 2.091 Å, rel. 43; (2 0 4), d = 2.032 Å, rel. 28; (2 2 4), d = 1.776 Å, rel. 11; (2 4 0), d = 1.636 Å, rel. 11; (5 1 2), d = 1.376 Å, rel. 11

Crystal structure
```
data_Rb2NpVS4
_chemical_formula_sum 'Rb4 Np2 V2 S8'
_space_group_name_H-M_alt 'I -4'
_space_group_IT_number 82
_cell_length_a 7.314
_cell_length_b 7.314
_cell_length_c 9.773
_cell_angle_alpha 90.00
_cell_angle_beta 90.00
_cell_angle_gamma 90.00
loop_
_space_group_symop_operation_xyz
'x,y,z'
'y,-x,-z'
'-x,-y,z'
'-y,x,-z'
'x+1/2,y+1/2,z+1/2'
'y+1/2,-x+1/2,-z+1/2'
'-x+1/2,-y+1/2,z+1/2'
'-y+1/2,x+1/2,-z+1/2'
loop_
_atom_site_label
_atom_site_type_symbol
_atom_site_fract_x
_atom_site_fract_y
_atom_site_fract_z
_atom_site_occupancy
Rb1 Rb 0.000 0.000 0.000 1
Rb2 Rb 0.000 0.500 0.250 1
Np1 Np 0.000 0.000 0.500 1
V1 V 0.000 0.500 0.750 1
S1 S 0.151 0.728 0.633 1
```

Entry 2:
Structure and calculated X-ray powder pattern of Pm7Ho12Tm (a crystal structure in Alexandria, relaxed with GGA-PBE; λ = 1.5418 Å (Cu Kα)).

Largest 12 diffraction maxima, by angle, 2θ from 10° to 80°:
(1 0 4), d = 3.104 Å, rel. 37; (0 3 3), d = 2.850 Å, rel. 100; (4 0 1), d = 2.791 Å, rel. 69; (0 4 2), d = 2.615 Å, rel. 38; (3 2 1), d = 2.571 Å, rel. 13; (1 3 4), d = 2.262 Å, rel. 10; (3 0 6), d = 1.873 Å, rel. 19; (4 4 0), d = 1.651 Å, rel. 17; (4 3 4), d = 1.624 Å, rel. 20; (0 7 2), d = 1.584 Å, rel. 14; (3 4 5), d = 1.520 Å, rel. 12; (0 4 8), d = 1.405 Å, rel. 10

Crystal structure
```
data_Pm7Ho12Tm
_chemical_formula_sum 'Pm21 Ho36 Tm3'
_space_group_name_H-M_alt 'R -3 m'
_space_group_IT_number 166
_space_group_name_Hall '-R 3 2"'
_cell_length_a 13.2051
_cell_length_b 13.2051
_cell_length_c 12.9022
_cell_angle_alpha 90.00
_cell_angle_beta 90.00
_cell_angle_gamma 120.00
loop_
_atom_site_label
_atom_site_type_symbol
_atom_site_fract_x
_atom_site_fract_y
_atom_site_fract_z
_atom_site_occupancy
Pm1 Pm 0.0000 0.0000 0.0000 1
Pm2 Pm 0.0906 0.1811 0.2716 1
Ho1 Ho 0.0000 0.2617 0.5000 1
Ho2 Ho 0.0401 0.5200 0.6190 1
Tm1 Tm 0.0000 0.0000 0.5000 1
```

Entry 3:
Structure and calculated X-ray powder pattern of La3Cu2Au (a crystal structure in Alexandria, relaxed with GGA-PBE; λ = 1.5418 Å (Cu Kα)).

Largest 12 diffraction maxima, by angle, 2θ from 10° to 80°:
(0 0 1), d = 6.420 Å, rel. 3; (1 0 0), d = 4.549 Å, rel. 6; (0 1 1), d = 3.712 Å, rel. 6; (1 1 0), d = 2.625 Å, rel. 100; (1 1 1), d = 2.431 Å, rel. 2; (1 1 2), d = 2.033 Å, rel. 2; (2 0 2), d = 1.856 Å, rel. 18; (1 2 1), d = 1.660 Å, rel. 2; (3 0 0), d = 1.516 Å, rel. 28; (1 0 4), d = 1.514 Å, rel. 9; (2 2 0), d = 1.313 Å, rel. 6; (0 2 4), d = 1.311 Å, rel. 6

Crystal structure
```
data_La3Cu2Au
_chemical_formula_sum 'La3 Cu2 Au1'
_space_group_name_H-M_alt 'P -3 m 1'
_space_group_IT_number 164
_space_group_name_Hall '-P 3 2"'
_cell_length_a 5.2526
_cell_length_b 5.2526
_cell_length_c 6.4202
_cell_angle_alpha 90.00
_cell_angle_beta 90.00
_cell_angle_gamma 120.00
loop_
_atom_site_label
_atom_site_type_symbol
_atom_site_fract_x
_atom_site_fract_y
_atom_site_fract_z
_atom_site_occupancy
La1 La 0.0000 0.0000 0.0000 1
La2 La 0.3333 0.6667 0.6715 1
Cu1 Cu 0.3333 0.6667 0.1507 1
Au1 Au 0.0000 0.0000 0.5000 1
```

Entry 4:
Structure and calculated X-ray powder pattern of HoTl3Pd12 (a crystal structure in Alexandria, relaxed with GGA-PBE; λ = 1.5418 Å (Cu Kα)).

Largest 12 diffraction maxima, by angle, 2θ from 10° to 80°:
(0 0 4), d = 4.116 Å, rel. 3; (1 0 0), d = 4.083 Å, rel. 5; (1 0 4), d = 2.899 Å, rel. 4; (1 1 0), d = 2.887 Å, rel. 2; (1 1 4), d = 2.364 Å, rel. 100; (0 0 8), d = 2.058 Å, rel. 17; (2 0 0), d = 2.041 Å, rel. 32; (2 1 4), d = 1.669 Å, rel. 2; (2 0 8), d = 1.449 Å, rel. 21; (2 2 0), d = 1.443 Å, rel. 11; (1 1 12), d = 1.239 Å, rel. 13; (3 1 4), d = 1.232 Å, rel. 25

Crystal structure
```
data_HoTl3Pd12
_chemical_formula_sum 'Ho1 Tl3 Pd12'
_space_group_name_H-M_alt 'P 4/m m m'
_space_group_IT_number 123
_space_group_name_Hall '-P 4 2'
_cell_length_a 4.083
_cell_length_b 4.083
_cell_length_c 16.465
_cell_angle_alpha 90.00
_cell_angle_beta 90.00
_cell_angle_gamma 90.00
loop_
_atom_site_label
_atom_site_type_symbol
_atom_site_fract_x
_atom_site_fract_y
_atom_site_fract_z
_atom_site_occupancy
Ho1 Ho 0.000 0.000 0.000 1
Tl1 Tl 0.000 0.000 0.253 1
Tl2 Tl 0.000 0.000 0.500 1
Pd1 Pd 0.000 0.500 0.126 1
Pd2 Pd 0.000 0.500 0.375 1
Pd3 Pd 0.500 0.500 0.000 1
Pd4 Pd 0.500 0.500 0.249 1
Pd5 Pd 0.500 0.500 0.500 1
```

Entry 5:
Structure and calculated X-ray powder pattern of AcPr3Ru (a crystal structure in Alexandria, relaxed with GGA-PBE; λ = 1.5418 Å (Cu Kα)).

Largest 12 diffraction maxima, by angle, 2θ from 10° to 80°:
(1 1 -3), d = 3.223 Å, rel. 100; (0 2 2), d = 3.139 Å, rel. 59; (2 1 1), d = 3.093 Å, rel. 75; (1 2 -2), d = 3.082 Å, rel. 63; (2 2 -1), d = 2.801 Å, rel. 47; (2 2 0), d = 2.762 Å, rel. 72; (1 1 3), d = 2.724 Å, rel. 52; (1 0 -4), d = 2.692 Å, rel. 52; (3 0 -2), d = 2.603 Å, rel. 68; (0 3 1), d = 2.542 Å, rel. 30; (1 3 0), d = 2.483 Å, rel. 28; (3 2 -4), d = 1.876 Å, rel. 32

Crystal structure
```
data_AcPr3Ru
_chemical_formula_sum 'Ac4 Pr12 Ru4'
_space_group_name_H-M_alt 'P 1 21/c 1'
_space_group_IT_number 14
_cell_length_a 8.040
_cell_length_b 7.861
_cell_length_c 10.800
_cell_angle_alpha 90.00
_cell_angle_beta 105.04
_cell_angle_gamma 90.00
loop_
_space_group_symop_operation_xyz
'x,y,z'
'-x,-y,-z'
'-x,y+1/2,-z+1/2'
'x,-y+1/2,z+1/2'
loop_
_atom_site_label
_atom_site_type_symbol
_atom_site_fract_x
_atom_site_fract_y
_atom_site_fract_z
_atom_site_occupancy
Ac1 Ac 0.198 0.048 0.252 1
Pr1 Pr 0.086 0.707 0.032 1
Pr2 Pr 0.302 0.511 0.377 1
Pr3 Pr 0.398 0.125 0.599 1
Ru1 Ru 0.452 0.748 0.609 1
```

Entry 6:
Structure and calculated X-ray powder pattern of Pd4Rh (a crystal structure in Alexandria, relaxed with GGA-PBE; λ = 1.5418 Å (Cu Kα)).

Largest 3 diffraction maxima, by angle, 2θ from 10° to 80°:
(0 1 5), d = 2.266 Å, rel. 100; (1 0 10), d = 1.962 Å, rel. 48; (1 1 0), d = 1.387 Å, rel. 30

Crystal structure
```
data_Pd4Rh
_chemical_formula_sum 'Pd12 Rh3'
_space_group_name_H-M_alt 'R -3 m'
_space_group_IT_number 166
_space_group_name_Hall '-R 3 2"'
_cell_length_a 2.7765
_cell_length_b 2.7765
_cell_length_c 33.9475
_cell_angle_alpha 90.00
_cell_angle_beta 90.00
_cell_angle_gamma 120.00
loop_
_atom_site_label
_atom_site_type_symbol
_atom_site_fract_x
_atom_site_fract_y
_atom_site_fract_z
_atom_site_occupancy
Pd1 Pd 0.0000 0.0000 0.1014 1
Pd2 Pd 0.0000 0.0000 0.2995 1
Rh1 Rh 0.0000 0.0000 0.5000 1
```

Entry 7:
Structure and calculated X-ray powder pattern of Li2H2Rh (a crystal structure in Alexandria, relaxed with GGA-PBE; λ = 1.5418 Å (Cu Kα)).

Largest 12 diffraction maxima, by angle, 2θ from 10° to 80°:
(0 0 1), d = 4.968 Å, rel. 100; (2 0 0), d = 4.185 Å, rel. 23; (1 1 0), d = 3.663 Å, rel. 35; (1 1 -1), d = 3.228 Å, rel. 82; (2 0 1), d = 2.714 Å, rel. 22; (3 1 -1), d = 2.411 Å, rel. 29; (3 1 0), d = 2.302 Å, rel. 48; (4 0 -1), d = 2.278 Å, rel. 15; (1 1 -2), d = 2.245 Å, rel. 44; (4 0 -2), d = 2.050 Å, rel. 18; (0 2 0), d = 2.037 Å, rel. 18; (3 1 1), d = 1.868 Å, rel. 16

Crystal structure
```
data_Li2H2Rh
_chemical_formula_sum 'Li8 H8 Rh4'
_space_group_name_H-M_alt 'C 1 2/m 1'
_space_group_IT_number 12
_cell_length_a 9.117
_cell_length_b 4.073
_cell_length_c 5.411
_cell_angle_alpha 90.00
_cell_angle_beta 113.36
_cell_angle_gamma 90.00
loop_
_space_group_symop_operation_xyz
'x,y,z'
'-x,-y,-z'
'-x,y,-z'
'x,-y,z'
'x+1/2,y+1/2,z'
'-x+1/2,-y+1/2,-z'
'-x+1/2,y+1/2,-z'
'x+1/2,-y+1/2,z'
loop_
_atom_site_label
_atom_site_type_symbol
_atom_site_fract_x
_atom_site_fract_y
_atom_site_fract_z
_atom_site_occupancy
Li1 Li 0.012 0.000 0.277 1
Li2 Li 0.187 0.500 0.105 1
H1 H 0.010 0.500 0.716 1
H2 H 0.166 0.000 0.121 1
Rh1 Rh 0.166 0.500 0.592 1
```

Entry 8:
Structure and calculated X-ray powder pattern of ScInH (a crystal structure in Alexandria, relaxed with GGA-PBE; λ = 1.5418 Å (Cu Kα)).

Largest 12 diffraction maxima, by angle, 2θ from 10° to 80°:
(2 0 0), d = 5.073 Å, rel. 45; (1 0 2), d = 2.836 Å, rel. 45; (1 1 1), d = 2.792 Å, rel. 100; (2 0 2), d = 2.553 Å, rel. 41; (4 0 0), d = 2.536 Å, rel. 41; (2 1 1), d = 2.520 Å, rel. 66; (3 0 2), d = 2.225 Å, rel. 20; (3 1 1), d = 2.203 Å, rel. 47; (0 1 3), d = 1.696 Å, rel. 25; (5 1 1), d = 1.663 Å, rel. 15; (1 0 4), d = 1.461 Å, rel. 16; (4 1 3), d = 1.410 Å, rel. 23

Crystal structure
```
data_ScInH
_chemical_formula_sum 'Sc4 In4 H4'
_space_group_name_H-M_alt 'P n m a'
_space_group_IT_number 62
_cell_length_a 10.145
_cell_length_b 3.335
_cell_length_c 5.908
_cell_angle_alpha 90.00
_cell_angle_beta 90.00
_cell_angle_gamma 90.00
loop_
_space_group_symop_operation_xyz
'x,y,z'
'-x,-y,-z'
'-x+1/2,-y,z+1/2'
'x+1/2,y,-z+1/2'
'x+1/2,-y+1/2,-z+1/2'
'-x+1/2,y+1/2,z+1/2'
'-x,y+1/2,-z'
'x,-y+1/2,z'
loop_
_atom_site_label
_atom_site_type_symbol
_atom_site_fract_x
_atom_site_fract_y
_atom_site_fract_z
_atom_site_occupancy
Sc1 Sc 0.007 0.250 0.233 1
In1 In 0.234 0.250 0.578 1
H1 H 0.049 0.250 0.909 1
```